Record 1
Diffraction record for AlSi2Ag. The powder diffraction line list is theoretical, not measured: it uses a cell relaxed with PBE and CuKα.
Peak positions follow from Bragg's law for the DFT cell and can differ from measured ones.

Atomic structure:
a b c (Å): 2.8301 4.1513 5.5946
angles (deg): 90.00 90.00 90.00
Atoms (fractional coordinates):
Al: 0.0000 0.0000 0.0000
Si: 0.0000 0.0000 0.4643
Si: 0.5000 0.5000 0.2857
Ag: 0.5000 0.5000 0.7880

Peak list (6 most intense, 10° ≤ 2θ ≤ 90°, by intensity)
| Position (°2θ) | Rel. int. |
| --- | --- |
| 38.50 | 100 |
| 38.82 | 87 |
| 15.84 | 66 |
| 26.74 | 56 |
| 45.60 | 54 |
| 21.40 | 43 |

***

Record 2
Diffraction record for Sm3Y2Ge4. The powder diffraction line list is theoretical, not measured: it uses a cell relaxed with PBE and CuKα.
Peak positions follow from Bragg's law for the DFT cell and can differ from measured ones.

Atomic structure:
a b c (Å): 8.0343 7.9057 7.7084
angles (deg): 90.00 111.88 90.00
Atoms (fractional coordinates):
Sm: 0.0000 0.0000 0.0000
Sm: 0.0000 0.5000 0.5000
Sm: 0.3013 0.1813 0.4348
Sm: 0.3013 0.3187 0.9348
Sm: 0.6987 0.6813 0.0652
Sm: 0.6987 0.8187 0.5652
Y: 0.2622 0.6643 0.2705
Y: 0.2622 0.8357 0.7705
Y: 0.7378 0.1643 0.2295
Y: 0.7378 0.3357 0.7295
Ge: 0.0085 0.1284 0.6262
Ge: 0.0085 0.3716 0.1262
Ge: 0.4150 0.5373 0.6737
Ge: 0.4150 0.9627 0.1737
Ge: 0.5850 0.0373 0.8263
Ge: 0.5850 0.4627 0.3263
Ge: 0.9915 0.6284 0.8738
Ge: 0.9915 0.8716 0.3738

Peak list (6 most intense, 10° ≤ 2θ ≤ 90°, by intensity)
| Position (°2θ) | Rel. int. |
| --- | --- |
| 33.01 | 100 |
| 31.96 | 92 |
| 33.54 | 87 |
| 36.83 | 85 |
| 32.56 | 73 |
| 36.33 | 69 |

***

Record 3
Diffraction record for FeSe2Br. The powder diffraction line list is theoretical, not measured: it uses a cell relaxed with PBE and CuKα.
Peak positions follow from Bragg's law for the DFT cell and can differ from measured ones.

Atomic structure:
a b c (Å): 4.9730 3.5752 5.1495
angles (deg): 90.00 107.63 90.00
Atoms (fractional coordinates):
Fe: 0.0000 0.0000 0.0000
Se: 0.3500 0.5000 0.1471
Se: 0.6500 0.5000 0.8529
Br: 0.0000 0.0000 0.5000

Peak list (6 most intense, 10° ≤ 2θ ≤ 90°, by intensity)
| Position (°2θ) | Rel. int. |
| --- | --- |
| 31.34 | 100 |
| 35.75 | 53 |
| 29.91 | 34 |
| 51.56 | 32 |
| 30.95 | 26 |
| 53.50 | 24 |

***

Record 4
Diffraction record for Nd5In2Ir. The powder diffraction line list is theoretical, not measured: it uses a cell relaxed with PBE and CuKα.
Peak positions follow from Bragg's law for the DFT cell and can differ from measured ones.

Atomic structure:
a b c (Å): 7.9293 12.5451 4.8691
angles (deg): 90.00 90.00 90.00
Atoms (fractional coordinates):
Nd: 0.0000 0.0000 0.0000
Nd: 0.1350 0.2952 0.0000
Nd: 0.1832 0.5722 0.5000
Nd: 0.3168 0.0722 0.5000
Nd: 0.3650 0.7952 0.0000
Nd: 0.5000 0.5000 0.0000
Nd: 0.6350 0.2048 0.0000
Nd: 0.6832 0.9278 0.5000
Nd: 0.8168 0.4278 0.5000
Nd: 0.8650 0.7048 0.0000
In: 0.0787 0.8329 0.5000
In: 0.4213 0.3329 0.5000
In: 0.5787 0.6671 0.5000
In: 0.9213 0.1671 0.5000
Ir: 0.0000 0.5000 0.0000
Ir: 0.5000 0.0000 0.0000

Peak list (6 most intense, 10° ≤ 2θ ≤ 90°, by intensity)
| Position (°2θ) | Rel. int. |
| --- | --- |
| 29.92 | 100 |
| 32.43 | 83 |
| 36.92 | 77 |
| 34.00 | 50 |
| 30.65 | 49 |
| 30.35 | 36 |

***

Record 5
Diffraction record for Na2Ta3S6. The powder diffraction line list is theoretical, not measured: it uses a cell relaxed with PBE and CuKα.
Peak positions follow from Bragg's law for the DFT cell and can differ from measured ones.

Atomic structure:
a b c (Å): 14.9065 14.9065 14.9065
angles (deg): 22.68 22.68 22.68
Atoms (fractional coordinates):
Na: 0.0831 0.0831 0.0831
Na: 0.4165 0.4165 0.4165
Na: 0.5835 0.5835 0.5835
Na: 0.9169 0.9169 0.9169
Ta: 0.0000 0.3337 0.6663
Ta: 0.1668 0.1668 0.1668
Ta: 0.3337 0.6663 0.0000
Ta: 0.5000 0.5000 0.5000
Ta: 0.6663 0.0000 0.3337
Ta: 0.8332 0.8332 0.8332
S: 0.0346 0.7023 0.3696
S: 0.1300 0.7980 0.4655
S: 0.2020 0.8700 0.5345
S: 0.2977 0.9654 0.6304
S: 0.3696 0.0346 0.7023
S: 0.4655 0.1300 0.7980
S: 0.5345 0.2020 0.8700
S: 0.6304 0.2977 0.9654
S: 0.7023 0.3696 0.0346
S: 0.7980 0.4655 0.1300
S: 0.8700 0.5345 0.2020
S: 0.9654 0.6304 0.2977

Peak list (6 most intense, 10° ≤ 2θ ≤ 90°, by intensity)
| Position (°2θ) | Rel. int. |
| --- | --- |
| 12.19 | 100 |
| 31.13 | 50 |
| 35.82 | 35 |
| 39.52 | 27 |
| 54.19 | 25 |
| 43.89 | 20 |

***

Record 6
Diffraction record for Pm4Pr9Tl11. The powder diffraction line list is theoretical, not measured: it uses a cell relaxed with PBE and CuKα.
Peak positions follow from Bragg's law for the DFT cell and can differ from measured ones.

Atomic structure:
a b c (Å): 14.2221 14.2221 3.6622
angles (deg): 90.00 90.00 100.16
Atoms (fractional coordinates):
Pm: 0.0683 0.2368 0.0000
Pm: 0.2368 0.0683 0.0000
Pm: 0.7632 0.9317 0.0000
Pm: 0.9317 0.7632 0.0000
Pr: 0.0000 0.0000 0.0000
Pr: 0.1217 0.6423 0.0000
Pr: 0.2932 0.4692 0.0000
Pr: 0.3577 0.8783 0.0000
Pr: 0.4692 0.2932 0.0000
Pr: 0.5308 0.7068 0.0000
Pr: 0.6423 0.1217 0.0000
Pr: 0.7068 0.5308 0.0000
Pr: 0.8783 0.3577 0.0000
Tl: 0.0839 0.4327 0.5000
Tl: 0.1370 0.8630 0.5000
Tl: 0.2645 0.2645 0.5000
Tl: 0.3274 0.6726 0.5000
Tl: 0.4327 0.0839 0.5000
Tl: 0.5000 0.5000 0.5000
Tl: 0.5673 0.9161 0.5000
Tl: 0.6726 0.3274 0.5000
Tl: 0.7355 0.7355 0.5000
Tl: 0.8630 0.1370 0.5000
Tl: 0.9161 0.5673 0.5000

Peak list (6 most intense, 10° ≤ 2θ ≤ 90°, by intensity)
| Position (°2θ) | Rel. int. |
| --- | --- |
| 31.32 | 100 |
| 31.46 | 97 |
| 34.77 | 71 |
| 60.10 | 31 |
| 53.62 | 26 |
| 39.50 | 23 |

***

Record 7
Diffraction record for K2BaFe. The powder diffraction line list is theoretical, not measured: it uses a cell relaxed with PBE and CuKα.
Peak positions follow from Bragg's law for the DFT cell and can differ from measured ones.

Atomic structure:
a b c (Å): 4.0925 4.0925 11.6905
angles (deg): 90.00 90.00 93.18
Atoms (fractional coordinates):
K: 0.0000 0.0000 0.0000
K: 0.5000 0.5000 0.3352
Ba: 0.0000 0.0000 0.6559
Fe: 0.5000 0.5000 0.8055

Peak list (6 most intense, 10° ≤ 2θ ≤ 90°, by intensity)
| Position (°2θ) | Rel. int. |
| --- | --- |
| 26.62 | 100 |
| 31.76 | 82 |
| 37.85 | 33 |
| 30.06 | 33 |
| 23.06 | 30 |
| 22.82 | 23 |

***

Record 8
Diffraction record for Nd12Sm2Y. The powder diffraction line list is theoretical, not measured: it uses a cell relaxed with PBE and CuKα.
Peak positions follow from Bragg's law for the DFT cell and can differ from measured ones.

Atomic structure:
a b c (Å): 6.8757 6.8757 25.1775
angles (deg): 90.00 90.00 116.50
Atoms (fractional coordinates):
Nd: 0.0018 0.5018 0.1289
Nd: 0.0017 0.9983 0.9253
Nd: 0.0204 0.5204 0.5831
Nd: 0.0244 0.9756 0.4401
Nd: 0.2500 0.2500 0.1991
Nd: 0.2500 0.2500 0.3258
Nd: 0.2500 0.2500 0.6742
Nd: 0.2500 0.2500 0.8009
Nd: 0.4756 0.5244 0.4401
Nd: 0.4796 0.9796 0.5831
Nd: 0.4983 0.5017 0.9253
Nd: 0.4982 0.9982 0.1289
Nd: 0.5018 0.0018 0.8711
Nd: 0.5017 0.4983 0.0747
Nd: 0.5204 0.0204 0.4169
Nd: 0.5244 0.4756 0.5599
Nd: 0.7500 0.7500 0.1991
Nd: 0.7500 0.7500 0.3258
Nd: 0.7500 0.7500 0.6742
Nd: 0.7500 0.7500 0.8009
Nd: 0.9756 0.0244 0.5599
Nd: 0.9796 0.4796 0.4169
Nd: 0.9983 0.0017 0.0747
Nd: 0.9982 0.4982 0.8711
Sm: 0.2500 0.7500 0.2729
Sm: 0.2500 0.7500 0.7329
Sm: 0.7500 0.2500 0.2671
Sm: 0.7500 0.2500 0.7271
Y: 0.2500 0.7500 0.0006
Y: 0.7500 0.2500 0.9994

Peak list (6 most intense, 10° ≤ 2θ ≤ 90°, by intensity)
| Position (°2θ) | Rel. int. |
| --- | --- |
| 32.34 | 100 |
| 29.90 | 91 |
| 30.58 | 76 |
| 29.15 | 52 |
| 36.20 | 40 |
| 28.43 | 30 |

***

Record 9
Diffraction record for Tm2Cd2Hg5. The powder diffraction line list is theoretical, not measured: it uses a cell relaxed with PBE and CuKα.
Peak positions follow from Bragg's law for the DFT cell and can differ from measured ones.

Atomic structure:
a b c (Å): 8.6658 8.6658 7.6713
angles (deg): 90.00 90.00 52.04
Atoms (fractional coordinates):
Tm: 0.2120 0.2120 0.0000
Tm: 0.2880 0.2880 0.5000
Tm: 0.7120 0.7120 0.5000
Tm: 0.7880 0.7880 0.0000
Cd: 0.1328 0.8672 0.6345
Cd: 0.3672 0.6328 0.1345
Cd: 0.6328 0.3672 0.8655
Cd: 0.8672 0.1328 0.3655
Hg: 0.0000 0.0000 0.0000
Hg: 0.0382 0.6949 0.3318
Hg: 0.1949 0.5382 0.8318
Hg: 0.3051 0.9618 0.3318
Hg: 0.4618 0.8051 0.8318
Hg: 0.5000 0.5000 0.5000
Hg: 0.5382 0.1949 0.1682
Hg: 0.6949 0.0382 0.6682
Hg: 0.8051 0.4618 0.1682
Hg: 0.9618 0.3051 0.6682

Peak list (6 most intense, 10° ≤ 2θ ≤ 90°, by intensity)
| Position (°2θ) | Rel. int. |
| --- | --- |
| 33.19 | 100 |
| 31.29 | 93 |
| 35.00 | 87 |
| 32.93 | 61 |
| 37.56 | 57 |
| 37.83 | 57 |

***

Record 10
Diffraction record for KIrS. The powder diffraction line list is theoretical, not measured: it uses a cell relaxed with PBE and CuKα.
Peak positions follow from Bragg's law for the DFT cell and can differ from measured ones.

Atomic structure:
a b c (Å): 4.1898 5.3363 6.3011
angles (deg): 90.00 97.78 90.00
Atoms (fractional coordinates):
K: 0.0000 0.0000 0.0000
K: 0.4146 0.0000 0.5295
Ir: 0.5238 0.5000 0.9032
Ir: 0.8424 0.5000 0.3173
S: 0.3198 0.5000 0.2111
S: 0.9442 0.5000 0.6913

Peak list (6 most intense, 10° ≤ 2θ ≤ 90°, by intensity)
| Position (°2θ) | Rel. int. |
| --- | --- |
| 16.61 | 100 |
| 29.40 | 55 |
| 33.59 | 38 |
| 33.25 | 35 |
| 32.18 | 28 |
| 24.09 | 21 |

***

Record 11
Diffraction record for K3LaNp2Se6. The powder diffraction line list is theoretical, not measured: it uses a cell relaxed with PBE and CuKα.
Peak positions follow from Bragg's law for the DFT cell and can differ from measured ones.

Atomic structure:
a b c (Å): 7.5058 7.5058 8.0690
angles (deg): 98.93 98.93 120.00
Atoms (fractional coordinates):
K: 0.0000 0.0000 0.0000
K: 0.3351 0.6649 0.0000
K: 0.6649 0.3351 0.0000
La: 0.5000 0.5000 0.5000
Np: 0.1669 0.8331 0.5000
Np: 0.8331 0.1669 0.5000
Se: 0.0876 0.4305 0.2919
Se: 0.2265 0.2265 0.7080
Se: 0.4305 0.0876 0.2919
Se: 0.5695 0.9124 0.7081
Se: 0.7735 0.7735 0.2920
Se: 0.9124 0.5695 0.7081

Peak list (6 most intense, 10° ≤ 2θ ≤ 90°, by intensity)
| Position (°2θ) | Rel. int. |
| --- | --- |
| 28.40 | 100 |
| 11.54 | 67 |
| 41.68 | 37 |
| 39.47 | 35 |
| 24.03 | 20 |
| 51.21 | 19 |

***

Record 12
Diffraction record for La2Pm5Nd2. The powder diffraction line list is theoretical, not measured: it uses a cell relaxed with PBE and CuKα.
Peak positions follow from Bragg's law for the DFT cell and can differ from measured ones.

Atomic structure:
a b c (Å): 10.3429 10.3429 10.3429
angles (deg): 85.20 107.83 141.03
Atoms (fractional coordinates):
La: 0.0000 0.0000 0.0000
La: 0.0000 0.5000 0.5000
La: 0.0671 0.8206 0.7465
La: 0.0740 0.3206 0.2535
Pm: 0.1032 0.0141 0.3742
Pm: 0.1032 0.2291 0.5892
Pm: 0.1589 0.6434 0.0155
Pm: 0.4307 0.1331 0.1898
Pm: 0.4307 0.7409 0.7975
Pm: 0.6279 0.1434 0.9845
Pm: 0.6399 0.5141 0.4108
Pm: 0.6399 0.7291 0.6258
Pm: 0.9433 0.2409 0.8102
Pm: 0.9433 0.6331 0.2025
Nd: 0.5362 0.1640 0.6224
Nd: 0.5362 0.4138 0.8722
Nd: 0.5416 0.6640 0.1278
Nd: 0.5416 0.9138 0.3776

Peak list (6 most intense, 10° ≤ 2θ ≤ 90°, by intensity)
| Position (°2θ) | Rel. int. |
| --- | --- |
| 29.32 | 100 |
| 27.75 | 84 |
| 29.76 | 80 |
| 34.82 | 65 |
| 30.25 | 61 |
| 32.05 | 57 |